Record 1
For CaNdMn2O6, a structure optimized by DFT (GGA+U) gives the simulated powder X-ray diffraction pattern in this record (Cu Kα X-rays).
Neutral-atom scattering factors, no anomalous dispersion.

Largest 12 diffraction maxima, by angle, 15° ≤ 2θ ≤ 90°:
h k l  two_theta  I/Imax
1 1 0  16.74  262
2 0 2  32.67  192
2 2 -1  32.90  1000
2 2 2  40.44  66
2 2 -4  40.64  70
0 0 6  46.98  128
4 0 -2  47.13  128
0 4 0  47.38  137
2 2 -7  58.73  168
4 2 -5  58.85  172
0 4 6  68.94  65
4 0 -8  69.05  98

Structural model:
abc: 7.7133 7.6744 12.2036
angles: 90.00 108.01 90.00
Fractional positions:
Ca  0.0000  0.0000  0.0000
Ca  0.1139  0.5000  0.3144
Ca  0.2813  0.5000  0.6368
Ca  0.4437  0.5000  0.9744
Ca  0.6720  0.0000  0.3448
Ca  0.8401  0.0000  0.6664
Nd  0.1679  0.0000  0.3281
Nd  0.3257  0.0000  0.6672
Nd  0.5015  0.0000  0.0004
Nd  0.6229  0.5000  0.3034
Nd  0.7862  0.5000  0.6463
Nd  0.9586  0.5000  0.9813
Mn  0.1429  0.2511  0.8218
Mn  0.1429  0.7489  0.8218
Mn  0.3090  0.2506  0.1544
Mn  0.3090  0.7494  0.1544
Mn  0.4768  0.2507  0.4882
Mn  0.4768  0.7493  0.4882
Mn  0.6426  0.2501  0.8220
Mn  0.6426  0.7499  0.8220
Mn  0.8103  0.2478  0.1561
Mn  0.8103  0.7522  0.1561
Mn  0.9762  0.2498  0.4885
Mn  0.9762  0.7502  0.4885
O  0.9996  0.0000  0.4674
O  0.0690  0.2165  0.1745
O  0.0690  0.7835  0.1745
O  0.0898  0.2198  0.6551
O  0.0898  0.7802  0.6551
O  0.1148  0.0000  0.8397
O  0.1714  0.5000  0.8008
O  0.1973  0.2859  0.9881
O  0.1973  0.7141  0.9881
O  0.2147  0.2830  0.4630
O  0.2147  0.7170  0.4630
O  0.2903  0.5000  0.1833
O  0.3171  0.0000  0.1281
O  0.4036  0.2095  0.8417
O  0.4036  0.7905  0.8417
O  0.4313  0.2120  0.3213
O  0.4313  0.7880  0.3213
O  0.4418  0.0000  0.5049
O  0.5124  0.5000  0.4692
O  0.5227  0.2912  0.6551
O  0.5227  0.7088  0.6551
O  0.5467  0.2886  0.1297
O  0.5467  0.7114  0.1297
O  0.6336  0.5000  0.8547
O  0.6538  0.0000  0.7897
O  0.7390  0.2154  0.5152
O  0.7390  0.7846  0.5152
O  0.7609  0.2090  0.9891
O  0.7609  0.7910  0.9891
O  0.7768  0.0000  0.1782
O  0.8409  0.5000  0.1435
O  0.8598  0.2791  0.3224
O  0.8598  0.7209  0.3224
O  0.8831  0.2901  0.8041
O  0.8831  0.7099  0.8041
O  0.9561  0.5000  0.5093



Record 2
For MgCr4O12, a structure optimized by DFT (GGA+U) gives the simulated powder X-ray diffraction pattern in this record (Cu Kα X-rays).
Neutral-atom scattering factors, no anomalous dispersion.

Largest 12 diffraction maxima, by angle, 15° ≤ 2θ ≤ 90°:
h k l  two_theta  I/Imax
0 0 2  18.30  1000
1 0 1  19.20  230
0 1 2  19.88  609
1 0 -1  20.99  216
1 1 1  22.67  319
-1 1 1  23.63  285
1 -1 1  25.06  493
1 1 -1  27.01  357
0 2 0  28.40  135
1 2 1  32.77  137
-1 2 1  33.01  192
1 2 2  33.97  131

Structural model:
abc: 4.9882 6.5273 10.1262
angles: 74.44 83.96 89.89
Fractional positions:
Mg  0.0000  0.0000  0.0000
Cr  0.0228  0.8323  0.3581
Cr  0.0680  0.5118  0.9558
Cr  0.5120  0.4989  0.4473
Cr  0.5633  0.8381  0.8392
O  0.1321  0.9990  0.4303
O  0.1793  0.4612  0.1028
O  0.2762  0.6490  0.3426
O  0.3493  0.6301  0.8290
O  0.3671  0.3738  0.5951
O  0.3836  0.9835  0.9282
O  0.6531  0.3405  0.3671
O  0.6883  0.9685  0.6891
O  0.7518  0.6842  0.4702
O  0.8473  0.7507  0.9400
O  0.9333  0.3054  0.9162
O  0.9351  0.9385  0.2003